Record 1
This entry pairs a crystal structure of SrCoAs2O7 with its simulated PXRD pattern. Radiation: Cu Kα, 1.54184 Å. Structure: a crystal structure in the Materials Project, relaxed with GGA+U.
Neutral-atom scattering factors, no anomalous dispersion.

Top 10 peaks for 2θ = 5–70°, low angle first:
two_theta, I/Imax
22.6, 31.6
25.3, 100.0
26.3, 30.6
27.2, 57.1
27.9, 77.8
29.7, 39.3
31.9, 65.7
32.3, 71.2
32.7, 38.2
42.0, 34.0

```
data_SrCoAs2O7
_chemical_formula_sum 'Sr4 Co4 As8 O28'
_space_group_name_H-M_alt 'P 1 21/c 1'
_space_group_IT_number 14
_cell_length_a 5.6101
_cell_length_b 8.5028
_cell_length_c 14.3665
_cell_angle_alpha 90.00
_cell_angle_beta 111.83
_cell_angle_gamma 90.00
loop_
_space_group_symop_operation_xyz
'x,y,z'
'-x,-y,-z'
'-x,y+1/2,-z+1/2'
'x,-y+1/2,z+1/2'
loop_
_atom_site_label
_atom_site_type_symbol
_atom_site_fract_x
_atom_site_fract_y
_atom_site_fract_z
Sr1 Sr 0.0115 0.1737 0.2202
Co1 Co 0.2754 0.6420 0.6072
As1 As 0.3389 0.1961 0.0150
As2 As 0.4192 0.0226 0.6649
O1 O 0.0948 0.1771 0.9011
O2 O 0.1757 0.0457 0.7061
O3 O 0.2725 0.0974 0.1073
O4 O 0.3025 0.6155 0.7632
O5 O 0.3163 0.0989 0.5400
O6 O 0.3524 0.6564 0.4747
O7 O 0.4986 0.1680 0.3452
```


Record 2
This entry pairs a crystal structure of Co8TeAs2O16 with its simulated PXRD pattern. Radiation: Cu Kα, 1.54184 Å. Structure: a crystal structure in the Materials Project, relaxed with GGA+U.
Neutral-atom scattering factors, no anomalous dispersion.

Top 10 peaks for 2θ = 5–70°, low angle first:
two_theta, I/Imax
18.3, 25.7
25.5, 40.8
31.7, 56.9
31.8, 100.0
32.3, 73.2
34.5, 48.9
38.4, 43.0
38.8, 30.1
42.6, 38.0
61.0, 78.4

```
data_Co8TeAs2O16
_chemical_formula_sum 'Co32 Te4 As8 O64'
_space_group_name_H-M_alt 'C m c e'
_space_group_IT_number 64
_space_group_name_Hall '-C 2ac 2'
_cell_length_a 6.0412
_cell_length_b 23.8761
_cell_length_c 8.7042
_cell_angle_alpha 90.00
_cell_angle_beta 90.00
_cell_angle_gamma 90.00
loop_
_atom_site_label
_atom_site_type_symbol
_atom_site_fract_x
_atom_site_fract_y
_atom_site_fract_z
Co1 Co 0.0000 0.0590 0.1282
Co2 Co 0.0000 0.1359 0.4722
Co3 Co 0.2500 0.0729 0.7500
Co4 Co 0.2500 0.1929 0.7500
Te1 Te 0.0000 0.0000 0.5000
As1 As 0.0000 0.1906 0.1087
O1 O 0.0000 0.0080 0.7265
O2 O 0.0000 0.1307 0.7150
O3 O 0.0000 0.1319 0.2320
O4 O 0.0000 0.2479 0.2296
O5 O 0.2241 0.0593 0.4963
O6 O 0.2322 0.1863 0.9961
```


Record 3
This entry pairs a crystal structure of VCo3AsO8 with its simulated PXRD pattern. Radiation: Cu Kα, 1.54184 Å. Structure: a crystal structure in the Materials Project, relaxed with GGA+U.
Neutral-atom scattering factors, no anomalous dispersion.

Top 10 peaks for 2θ = 5–70°, low angle first:
two_theta, I/Imax
27.1, 36.1
29.3, 54.1
30.8, 23.3
34.9, 100.0
35.9, 44.7
36.5, 25.5
43.0, 25.5
57.4, 16.4
60.6, 15.6
62.9, 53.3

```
data_VCo3AsO8
_chemical_formula_sum 'V4 Co12 As4 O32'
_space_group_name_H-M_alt 'C 1 2/m 1'
_space_group_IT_number 12
_cell_length_a 11.6181
_cell_length_b 6.1106
_cell_length_c 8.3068
_cell_angle_alpha 90.00
_cell_angle_beta 90.10
_cell_angle_gamma 90.00
loop_
_space_group_symop_operation_xyz
'x,y,z'
'-x,-y,-z'
'-x,y,-z'
'x,-y,z'
'x+1/2,y+1/2,z'
'-x+1/2,-y+1/2,-z'
'-x+1/2,y+1/2,-z'
'x+1/2,-y+1/2,z'
loop_
_atom_site_label
_atom_site_type_symbol
_atom_site_fract_x
_atom_site_fract_y
_atom_site_fract_z
V1 V 0.1213 0.0000 0.1186
Co1 Co 0.0000 0.0000 0.5000
Co2 Co 0.0000 0.5000 0.0000
Co3 Co 0.1356 0.2501 0.7479
As1 As 0.1235 0.5000 0.3846
O1 O 0.0021 0.0000 0.7458
O2 O 0.0039 0.5000 0.2511
O3 O 0.1169 0.2322 0.9975
O4 O 0.1206 0.2656 0.4998
O5 O 0.2465 0.5000 0.2681
O6 O 0.2492 0.0000 0.2289
```